Theoretical X-ray diffraction stick pattern
Compound: Ni5H11Pd
Radiation: Cu Kα
Structure: a structure optimized by DFT (GGA-PBE)
Lines closer than 0.1° are merged.

Cell and atoms:
```
17
Lattice="2.6339 -4.3168 0.0000 2.6339 4.3168 0.0000 -1.2316 0.0000 5.3943" Properties=species:S:1:pos:R:3 pbc="T T T"
Ni 0.0000 0.0000 0.0000
Ni 1.1555 1.3051 1.8170
Ni 1.1555 -1.3051 1.8170
Ni 2.8807 1.3051 3.5774
Ni 2.8807 -1.3051 3.5774
H 0.0519 0.0000 1.6663
H 1.1848 1.1484 0.1213
H 1.2480 1.6926 3.4600
H 1.1848 -1.1484 0.1213
H 2.7881 1.6926 1.9344
H 2.0181 0.0000 2.6972
H 1.2480 -1.6926 3.4600
H 2.8514 1.1484 5.2730
H 2.7881 -1.6926 1.9344
H 2.8514 -1.1484 5.2730
H 3.9842 0.0000 3.7280
Pd 2.6339 0.0000 0.0000
```

Most intense lines, 2θ = 10–90°, by intensity:
d_spacing	I/Imax
3.370	100
2.377	66
2.141	47
2.109	44
2.207	39
2.004	36
3.135	35
3.790	34
1.798	33
2.287	32
4.414	32
1.652	30